# 1
Diffraction record for Sr2Ga3Pt2. The powder diffraction line list is computed, not measured: it uses a crystal structure in Alexandria, relaxed with PBE and Cu Kα, 1.54184 Å.
Intensities are scaled so that the largest is 100.

The 10 most intense peaks (10° ≤ 2θ ≤ 80°), low angle first:
Position (°2θ), I_rel
24.33, 46
30.85, 55
31.91, 100
33.26, 95
34.67, 75
37.94, 48
39.68, 35
40.22, 74
41.62, 79
59.26, 55

```
Sr2Ga3Pt2
1.0
2.242 -9.485 0.000
2.242 9.485 0.000
0.000 0.000 7.322
Sr Ga Pt
4 6 4
Direct
0.066 0.934 0.750
0.158 0.842 0.250
0.842 0.158 0.750
0.934 0.066 0.250
0.232 0.768 0.750
0.440 0.560 0.576
0.440 0.560 0.924
0.560 0.440 0.076
0.560 0.440 0.424
0.768 0.232 0.250
0.313 0.687 0.055
0.313 0.687 0.445
0.687 0.313 0.555
0.687 0.313 0.945
```

---

# 2
Diffraction record for Sr4Ga3Pt2. The powder diffraction line list is computed, not measured: it uses a crystal structure in Alexandria, relaxed with PBE and Cu Kα, 1.54184 Å.
Intensities are scaled so that the largest is 100.

The 10 most intense peaks (10° ≤ 2θ ≤ 80°), low angle first:
Position (°2θ), I_rel
11.12, 39
12.38, 100
27.70, 37
30.51, 32
33.30, 34
33.80, 34
34.92, 53
35.55, 32
38.06, 53
43.63, 31

```
Sr4Ga3Pt2
1.0
8.396 -2.075 0.000
8.396 2.075 0.000
-2.412 0.000 7.151
Sr Ga Pt
4 3 2
Direct
0.076 0.076 0.378
0.269 0.269 0.811
0.731 0.731 0.189
0.924 0.924 0.622
0.400 0.400 0.252
0.500 0.500 0.000
0.600 0.600 0.748
0.091 0.091 0.950
0.909 0.909 0.050
```

---

# 3
Diffraction record for Sr2TbGa3Pt4. The powder diffraction line list is computed, not measured: it uses a crystal structure in Alexandria, relaxed with PBE and Cu Kα, 1.54184 Å.
Intensities are scaled so that the largest is 100.

The 10 most intense peaks (10° ≤ 2θ ≤ 80°), low angle first:
Position (°2θ), I_rel
15.90, 18
21.61, 22
31.44, 20
32.82, 100
40.78, 59
43.48, 46
45.56, 17
59.04, 20
69.22, 23
76.11, 18

```
Sr2TbGa3Pt4
1.0
4.425 0.000 0.000
0.000 4.425 0.000
0.000 0.000 11.149
Sr Tb Ga Pt
2 1 3 4
Direct
0.000 0.500 0.227
0.500 0.000 0.773
0.000 0.000 0.500
0.000 0.500 0.884
0.500 0.000 0.116
0.500 0.500 0.500
0.000 0.000 0.000
0.000 0.500 0.654
0.500 0.000 0.346
0.500 0.500 0.000
```

---

# 4
Diffraction record for SrUGa2Pt5. The powder diffraction line list is computed, not measured: it uses a crystal structure in Alexandria, relaxed with PBE and Cu Kα, 1.54184 Å.
Intensities are scaled so that the largest is 100.

The 10 most intense peaks (10° ≤ 2θ ≤ 80°), low angle first:
Position (°2θ), I_rel
22.39, 67
22.99, 68
31.85, 53
34.48, 100
38.51, 91
43.63, 93
44.30, 91
45.69, 34
50.18, 32
65.53, 48

```
SrUGa2Pt5
1.0
4.089 0.000 0.000
0.000 4.089 0.000
0.000 0.000 11.914
Sr U Ga Pt
1 1 2 5
Direct
0.000 0.000 0.000
0.000 0.000 0.500
0.500 0.500 0.205
0.500 0.500 0.795
0.000 0.500 0.336
0.000 0.500 0.664
0.500 0.000 0.336
0.500 0.000 0.664
0.500 0.500 0.000
```

---

# 5
Diffraction record for Tb2Ga3Pt5. The powder diffraction line list is computed, not measured: it uses a crystal structure in Alexandria, relaxed with PBE and Cu Kα, 1.54184 Å.
Intensities are scaled so that the largest is 100.

The 10 most intense peaks (10° ≤ 2θ ≤ 80°), low angle first:
Position (°2θ), I_rel
31.73, 19
32.43, 25
34.86, 80
35.20, 100
36.36, 19
42.75, 19
44.57, 68
45.17, 18
46.02, 31
76.20, 17

```
Tb2Ga3Pt5
1.0
-5.640 5.786 2.858
5.640 -5.786 2.858
5.640 5.786 -2.858
Tb Ga Pt
4 6 10
Direct
0.136 0.226 0.362
0.364 0.726 0.089
0.636 0.274 0.911
0.864 0.774 0.638
0.138 0.884 0.022
0.250 0.750 0.500
0.362 0.384 0.746
0.638 0.616 0.254
0.750 0.250 0.500
0.862 0.116 0.978
0.025 0.750 0.275
0.097 0.672 0.769
0.250 0.250 0.000
0.403 0.172 0.575
0.475 0.750 0.725
0.525 0.250 0.275
0.597 0.828 0.425
0.750 0.750 0.000
0.903 0.328 0.231
0.975 0.250 0.725
```

---

# 6
Diffraction record for Tb3Ga7Pt2. The powder diffraction line list is computed, not measured: it uses a crystal structure in Alexandria, relaxed with PBE and Cu Kα, 1.54184 Å.
Intensities are scaled so that the largest is 100.

The 10 most intense peaks (10° ≤ 2θ ≤ 80°), low angle first:
Position (°2θ), I_rel
30.02, 30
31.53, 42
34.37, 100
37.09, 20
38.28, 50
42.53, 37
42.83, 36
43.04, 19
55.78, 22
61.95, 24

```
Tb3Ga7Pt2
1.0
4.251 0.000 0.000
0.000 4.223 0.000
-2.101 0.000 13.277
Tb Ga Pt
3 7 2
Direct
0.000 0.000 0.000
0.317 0.500 0.639
0.683 0.500 0.361
0.084 0.500 0.162
0.225 0.000 0.450
0.419 0.000 0.838
0.500 0.500 0.000
0.581 0.000 0.162
0.775 0.000 0.550
0.916 0.500 0.838
0.132 0.000 0.265
0.868 0.000 0.735
```

---

# 7
Diffraction record for TbGaPt3. The powder diffraction line list is computed, not measured: it uses a crystal structure in Alexandria, relaxed with PBE and Cu Kα, 1.54184 Å.
Intensities are scaled so that the largest is 100.

The 10 most intense peaks (10° ≤ 2θ ≤ 80°), low angle first:
Position (°2θ), I_rel
23.58, 51
31.04, 89
37.48, 86
39.40, 97
39.67, 100
41.20, 48
42.25, 93
44.76, 36
53.59, 34
64.75, 37

```
TbGaPt3
1.0
5.693 0.000 0.000
0.000 4.461 0.000
0.000 0.000 7.545
Tb Ga Pt
2 2 6
Direct
0.000 0.079 0.000
0.500 0.921 0.500
0.000 0.335 0.577
0.500 0.665 0.077
0.000 0.872 0.398
0.246 0.619 0.787
0.254 0.381 0.287
0.500 0.128 0.898
0.746 0.381 0.287
0.754 0.619 0.787
```

---

# 8
Diffraction record for TbGa4Pt8. The powder diffraction line list is computed, not measured: it uses a crystal structure in Alexandria, relaxed with PBE and Cu Kα, 1.54184 Å.
Intensities are scaled so that the largest is 100.

The 10 most intense peaks (10° ≤ 2θ ≤ 80°), low angle first:
Position (°2θ), I_rel
28.53, 35
32.82, 54
34.56, 50
38.77, 31
40.29, 100
40.79, 56
44.03, 78
45.41, 32
63.67, 26
73.91, 38

```
TbGa4Pt8
1.0
-4.425 4.425 2.729
4.425 -4.425 2.729
4.425 4.425 -2.729
Tb Ga Pt
1 4 8
Direct
0.000 0.000 0.000
0.000 0.000 0.500
0.000 0.500 0.000
0.500 0.000 0.000
0.500 0.500 0.500
0.000 0.333 0.333
0.000 0.667 0.667
0.275 0.500 0.775
0.333 0.000 0.333
0.500 0.275 0.775
0.500 0.725 0.225
0.667 0.000 0.667
0.725 0.500 0.225
```